Calculated X-ray diffraction stick pattern of SrCrF6 for Cu Kα (weighted mean of Kα1 and Kα2), from a GGA+U-relaxed structure.
Kinematic intensities with the Lorentz-polarization factor, no thermal factor.

Structure:
```
data_SrCrF6
_symmetry_space_group_name_H-M 'R -3 m'
_symmetry_Int_Tables_number 166
_symmetry_space_group_name_Hall '-R 3 2"'
_cell_length_a 7.2529
_cell_length_b 7.2529
_cell_length_c 6.9970
_cell_angle_alpha 90.00
_cell_angle_beta 90.00
_cell_angle_gamma 120.00
loop_
_atom_site_label
_atom_site_type_symbol
_atom_site_fract_x
_atom_site_fract_y
_atom_site_fract_z
_atom_site_occupancy
Sr1 Sr 0.0000 0.0000 0.0000 1
Cr1 Cr 0.0000 0.0000 0.5000 1
F1 F 0.0963 0.5482 0.3272 1
```

Top 8 peaks for 15° ≤ 2θ ≤ 90°, sorted by position:
(1 1 0), 2θ 24.55, I = 100
(0 1 2), 2θ 29.22, I = 60
(0 0 3), 2θ 38.56, I = 27
(2 1 1), 2θ 40.11, I = 32
(1 2 2), 2θ 46.21, I = 85
(2 2 0), 2θ 50.32, I = 19
(0 4 2), 2θ 65.12, I = 13
(2 1 4), 2θ 66.38, I = 25